Record 1
Calculated powder diffraction line list of HoCd3In2 for Cu Kα, 1.54184 Å, from a DFT-relaxed cell (PBE, Alexandria).

The 10 most intense peaks (2θ from 10° to 90°), by angle:
two_theta, I_rel
29.66, 24
33.09, 66
33.22, 73
33.60, 100
38.43, 42
38.88, 67
55.90, 21
56.98, 21
60.63, 18
67.31, 34

Cell and atoms:
a = 8.7172 Å, b = 8.7172 Å, c = 5.7462 Å
α = 90.00°, β = 90.00°, γ = 136.29°
Positions (direct):
Ho 0.1607 0.8393 0.7500
Ho 0.8393 0.1607 0.2500
Cd 0.0920 0.4266 0.7500
Cd 0.3244 0.6756 0.2500
Cd 0.4266 0.0920 0.2500
Cd 0.5734 0.9080 0.7500
Cd 0.6756 0.3244 0.7500
Cd 0.9080 0.5734 0.2500
In 0.2449 0.2449 0.0000
In 0.2449 0.2449 0.5000
In 0.7551 0.7551 0.0000
In 0.7551 0.7551 0.5000

***

Record 2
Calculated powder diffraction line list of HoMg2Cd2In2 for Cu Kα, 1.54184 Å, from a DFT-relaxed cell (PBE, Alexandria).

The 10 most intense peaks (2θ from 10° to 90°), by angle:
two_theta, I_rel
10.38, 71
27.52, 67
35.32, 90
37.17, 100
38.69, 19
46.86, 16
52.21, 29
65.81, 28
67.00, 17
89.82, 16

Cell and atoms:
a = 8.9686 Å, b = 8.9686 Å, c = 8.9686 Å
α = 31.30°, β = 31.30°, γ = 31.30°
Positions (direct):
Ho 0.0000 0.0000 0.0000
Mg 0.1331 0.1331 0.1331
Mg 0.8669 0.8669 0.8669
Cd 0.2486 0.2486 0.2486
Cd 0.7514 0.7514 0.7514
In 0.3914 0.3914 0.3914
In 0.6086 0.6086 0.6086

***

Record 3
Calculated powder diffraction line list of Ho6CdIr for Cu Kα, 1.54184 Å, from a DFT-relaxed cell (PBE, Alexandria).

The 10 most intense peaks (2θ from 10° to 90°), by angle:
two_theta, I_rel
17.64, 14
24.15, 20
28.53, 13
29.65, 100
31.53, 15
38.91, 37
45.66, 11
45.74, 20
51.22, 20
55.43, 11

Cell and atoms:
a = 6.8674 Å, b = 6.8772 Å, c = 7.4016 Å
α = 90.12°, β = 117.50°, γ = 119.93°
Positions (direct):
Ho 0.0376 0.0791 0.2539
Ho 0.2951 0.7160 0.2535
Ho 0.3240 0.5407 0.7464
Ho 0.6760 0.4593 0.2536
Ho 0.7049 0.2840 0.7465
Ho 0.9624 0.9209 0.7461
Cd 0.5000 0.0000 0.0000
Ir 0.5000 0.5000 0.5000

***

Record 4
Calculated powder diffraction line list of Ho8Cd2Ir for Cu Kα, 1.54184 Å, from a DFT-relaxed cell (PBE, Alexandria).

The 10 most intense peaks (2θ from 10° to 90°), by angle:
two_theta, I_rel
29.86, 37
30.86, 51
31.20, 47
31.69, 27
31.93, 62
34.02, 100
34.41, 92
35.73, 55
39.68, 31
54.90, 20

Cell and atoms:
a = 9.1924 Å, b = 9.1924 Å, c = 6.9142 Å
α = 109.16°, β = 109.16°, γ = 33.32°
Positions (direct):
Ho 0.0200 0.0200 0.2865
Ho 0.1989 0.1989 0.7927
Ho 0.3480 0.3480 0.5457
Ho 0.4084 0.4084 0.0760
Ho 0.5916 0.5916 0.9240
Ho 0.6520 0.6520 0.4543
Ho 0.8011 0.8011 0.2073
Ho 0.9800 0.9800 0.7135
Cd 0.1809 0.1809 0.2080
Cd 0.8191 0.8191 0.7920
Ir 0.5000 0.5000 0.5000

***

Record 5
Calculated powder diffraction line list of La12Ho3Cd for Cu Kα, 1.54184 Å, from a DFT-relaxed cell (PBE, Alexandria).

The 10 most intense peaks (2θ from 10° to 90°), by angle:
two_theta, I_rel
29.89, 100
34.50, 17
34.73, 34
49.76, 24
49.93, 12
58.99, 14
59.29, 29
62.11, 12
80.86, 12
81.12, 6

Cell and atoms:
a = 5.1661 Å, b = 5.1661 Å, c = 20.7970 Å
α = 90.00°, β = 90.00°, γ = 90.00°
Positions (direct):
La 0.0000 0.0000 0.0000
La 0.0000 0.0000 0.2480
La 0.0000 0.0000 0.5000
La 0.0000 0.0000 0.7520
La 0.0000 0.5000 0.1228
La 0.0000 0.5000 0.3740
La 0.0000 0.5000 0.6260
La 0.0000 0.5000 0.8772
La 0.5000 0.0000 0.1228
La 0.5000 0.0000 0.3740
La 0.5000 0.0000 0.6260
La 0.5000 0.0000 0.8772
Ho 0.5000 0.5000 0.2478
Ho 0.5000 0.5000 0.5000
Ho 0.5000 0.5000 0.7522
Cd 0.5000 0.5000 0.0000

***

Record 6
Calculated powder diffraction line list of La5Ho2Cd for Cu Kα, 1.54184 Å, from a DFT-relaxed cell (PBE, Alexandria).

The 10 most intense peaks (2θ from 10° to 90°), by angle:
two_theta, I_rel
28.15, 25
31.19, 24
32.28, 100
42.51, 16
49.72, 6
49.90, 13
56.19, 19
59.87, 7
60.02, 14
60.56, 11

Cell and atoms:
a = 8.5379 Å, b = 7.3109 Å, c = 6.8079 Å
α = 74.32°, β = 55.53°, γ = 50.15°
Positions (direct):
La 0.0000 0.0000 0.0000
La 0.0963 0.0963 0.4037
La 0.5334 0.9924 0.4666
La 0.5963 0.5963 0.9037
La 0.9924 0.5334 0.0076
Ho 0.1149 0.5880 0.4120
Ho 0.5880 0.1149 0.8851
Cd 0.5075 0.5075 0.4925

***

Record 7
Calculated powder diffraction line list of LaHoCd4 for Cu Kα, 1.54184 Å, from a DFT-relaxed cell (PBE, Alexandria).

The 10 most intense peaks (2θ from 10° to 90°), by angle:
two_theta, I_rel
32.95, 100
35.47, 84
49.19, 32
52.84, 9
62.10, 31
63.69, 14
65.26, 27
75.04, 6
84.42, 9
87.29, 19

Cell and atoms:
a = 3.4655 Å, b = 5.0574 Å, c = 8.7735 Å
α = 90.00°, β = 90.00°, γ = 90.00°
Positions (direct):
La 0.0000 0.0000 0.0000
Ho 0.0000 0.5000 0.5000
Cd 0.5000 0.0000 0.3391
Cd 0.5000 0.0000 0.6609
Cd 0.5000 0.5000 0.1744
Cd 0.5000 0.5000 0.8256

***

Record 8
Calculated powder diffraction line list of La3Ho4Cd for Cu Kα, 1.54184 Å, from a DFT-relaxed cell (PBE, Alexandria).

The 10 most intense peaks (2θ from 10° to 90°), by angle:
two_theta, I_rel
30.75, 100
34.72, 42
37.46, 10
48.39, 7
49.92, 15
52.00, 15
58.60, 9
59.78, 30
64.04, 8
80.51, 7

Cell and atoms:
a = 3.6540 Å, b = 3.6540 Å, c = 19.2045 Å
α = 90.00°, β = 90.00°, γ = 90.00°
Positions (direct):
La 0.0000 0.0000 0.0000
La 0.0000 0.0000 0.2657
La 0.0000 0.0000 0.7343
Ho 0.5000 0.5000 0.1325
Ho 0.5000 0.5000 0.3977
Ho 0.5000 0.5000 0.6023
Ho 0.5000 0.5000 0.8675
Cd 0.0000 0.0000 0.5000

***

Record 9
Calculated powder diffraction line list of LaHoCd17 for Cu Kα, 1.54184 Å, from a DFT-relaxed cell (PBE, Alexandria).

The 10 most intense peaks (2θ from 10° to 90°), by angle:
two_theta, I_rel
30.67, 25
31.42, 16
35.62, 100
35.88, 20
36.27, 26
40.00, 27
40.22, 7
63.88, 9
64.34, 21
69.74, 7

Cell and atoms:
a = 7.6833 Å, b = 7.6833 Å, c = 7.6833 Å
α = 82.15°, β = 82.15°, γ = 82.15°
Positions (direct):
La 0.0000 0.0000 0.0000
Ho 0.3409 0.3409 0.3409
Cd 0.0435 0.0435 0.4646
Cd 0.0435 0.4646 0.0435
Cd 0.1439 0.6876 0.6876
Cd 0.3193 0.3193 0.7931
Cd 0.3193 0.7931 0.3193
Cd 0.3682 0.6638 0.9695
Cd 0.3682 0.9695 0.6638
Cd 0.4646 0.0435 0.0435
Cd 0.5613 0.5613 0.5613
Cd 0.6638 0.3682 0.9695
Cd 0.6638 0.9695 0.3682
Cd 0.6876 0.1439 0.6876
Cd 0.6876 0.6876 0.1439
Cd 0.7589 0.7589 0.7589
Cd 0.7931 0.3193 0.3193
Cd 0.9695 0.3682 0.6638
Cd 0.9695 0.6638 0.3682

***

Record 10
Calculated powder diffraction line list of La4HoCd for Cu Kα, 1.54184 Å, from a DFT-relaxed cell (PBE, Alexandria).

The 10 most intense peaks (2θ from 10° to 90°), by angle:
two_theta, I_rel
31.20, 100
31.64, 91
31.81, 81
44.95, 15
45.36, 31
55.73, 17
56.02, 34
56.43, 16
63.19, 11
65.07, 12

Cell and atoms:
a = 5.6600 Å, b = 6.8551 Å, c = 10.5446 Å
α = 108.91°, β = 90.01°, γ = 90.01°
Positions (direct):
La 0.2493 0.0252 0.0830
La 0.2497 0.1842 0.4184
La 0.2504 0.7329 0.4184
La 0.2509 0.5577 0.0828
La 0.7491 0.4423 0.9172
La 0.7496 0.2671 0.5816
La 0.7503 0.8158 0.5816
La 0.7507 0.9748 0.9170
Ho 0.2500 0.6236 0.7470
Ho 0.7500 0.3764 0.2530
Cd 0.2499 0.1244 0.7487
Cd 0.7501 0.8756 0.2513

***

Record 11
Calculated powder diffraction line list of LaHoCdPb for Cu Kα, 1.54184 Å, from a DFT-relaxed cell (PBE, Alexandria).

The 10 most intense peaks (2θ from 10° to 90°), by angle:
two_theta, I_rel
19.88, 5
32.74, 100
38.60, 3
46.98, 18
51.49, 1
58.44, 38
68.62, 12
72.25, 1
78.14, 17
87.32, 4

Cell and atoms:
a = 7.7363 Å, b = 7.7363 Å, c = 7.7363 Å
α = 90.00°, β = 90.00°, γ = 90.00°
Positions (direct):
La 0.0000 0.0000 0.0000
La 0.0000 0.5000 0.5000
La 0.5000 0.0000 0.5000
La 0.5000 0.5000 0.0000
Ho 0.0000 0.0000 0.5000
Ho 0.0000 0.5000 0.0000
Ho 0.5000 0.0000 0.0000
Ho 0.5000 0.5000 0.5000
Cd 0.2500 0.2500 0.7500
Cd 0.2500 0.7500 0.2500
Cd 0.7500 0.2500 0.2500
Cd 0.7500 0.7500 0.7500
Pb 0.2500 0.2500 0.2500
Pb 0.2500 0.7500 0.7500
Pb 0.7500 0.2500 0.7500
Pb 0.7500 0.7500 0.2500

***

Record 12
Calculated powder diffraction line list of La2HoTm2Cd5 for Cu Kα, 1.54184 Å, from a DFT-relaxed cell (PBE, Alexandria).

The 10 most intense peaks (2θ from 10° to 90°), by angle:
two_theta, I_rel
30.20, 17
32.49, 100
34.54, 25
35.65, 49
37.57, 9
37.93, 29
38.62, 9
52.23, 15
65.09, 13
66.55, 10

Cell and atoms:
a = 10.7075 Å, b = 10.7075 Å, c = 4.7447 Å
α = 90.00°, β = 90.00°, γ = 90.00°
Positions (direct):
La 0.1756 0.3244 0.0000
La 0.3244 0.8244 0.0000
La 0.6756 0.1756 0.0000
La 0.8244 0.6756 0.0000
Ho 0.0000 0.0000 0.0000
Ho 0.5000 0.5000 0.0000
Tm 0.1225 0.6225 0.0000
Tm 0.3775 0.1225 0.0000
Tm 0.6225 0.8775 0.0000
Tm 0.8775 0.3775 0.0000
Cd 0.0000 0.5000 0.5000
Cd 0.0668 0.8043 0.5000
Cd 0.1957 0.0668 0.5000
Cd 0.3043 0.5668 0.5000
Cd 0.4332 0.3043 0.5000
Cd 0.5000 0.0000 0.5000
Cd 0.5668 0.6957 0.5000
Cd 0.6957 0.4332 0.5000
Cd 0.8043 0.9332 0.5000
Cd 0.9332 0.1957 0.5000